Structure and simulated XRD peak list of RbCdInPb (a PBE-relaxed structure; a wavelength of 1.5418 Å).
Intensities are scaled so that the largest is 100.

Peak list (10 most intense, 10° ≤ 2θ ≤ 80°, in order of rising 2θ)
Position (°2θ), I (rel.), h k l
12.73, 69.2, 0 0 3
26.68, 100.0, 1 0 4
29.66, 35.6, 0 1 5
35.72, 81.8, 1 1 0
36.55, 34.3, 1 0 7
38.07, 30.6, 1 1 3
45.13, 24.0, 0 2 4
48.40, 23.8, 1 0 10
58.84, 21.6, 2 1 4
64.17, 14.6, 3 0 0

Structure:
```
data_RbCdInPb
_chemical_formula_sum 'Rb3 Cd3 In3 Pb3'
_space_group_name_H-M_alt 'R 3 m'
_space_group_IT_number 160
_space_group_name_Hall 'R 3 -2"'
_cell_length_a 5.0276
_cell_length_b 5.0276
_cell_length_c 20.8536
_cell_angle_alpha 90.00
_cell_angle_beta 90.00
_cell_angle_gamma 120.00
loop_
_atom_site_label
_atom_site_type_symbol
_atom_site_fract_x
_atom_site_fract_y
_atom_site_fract_z
_atom_site_occupancy
Rb1 Rb 0.0000 0.0000 0.0000 1
Cd1 Cd 0.0000 0.0000 0.5002 1
In1 In 0.0000 0.0000 0.2150 1
Pb1 Pb 0.0000 0.0000 0.7899 1
```